Record 1
Theoretical XRD peak list
Compound: Ce2Te2F
Radiation: Cu Kα (λ = 1.5418 Å)
Structure: a crystal structure in Alexandria, relaxed with GGA-PBE
Lines closer than 0.1° are merged.

Most intense lines, 2θ from 15° to 90°, low angle first:
2theta	I (rel.)	index
20.53	35	0 0 8
27.50	22	1 0 7
29.86	100	1 1 2
31.22	57	1 0 9
35.36	31	1 0 11
39.47	27	1 1 10
42.06	39	2 0 0
53.30	25	2 1 9
69.38	18	3 1 2
71.35	17	2 1 19

Atomic structure:
abc: 4.2965 4.2965 34.6056
angles: 90.00 90.00 90.00
Space group I4_1/amd (No. 141, origin choice 2)
Inequivalent atoms, fractional coordinates:
Ce 0.0000 0.2500 0.0884 [8 per cell]
Te 0.0000 0.2500 0.1943 [8 per cell]
F 0.0000 0.2500 0.8750 [4 per cell]

Record 2
Theoretical XRD peak list
Compound: Y2Zn3Au4
Radiation: Cu Kα (λ = 1.5418 Å)
Structure: a crystal structure in Alexandria, relaxed with GGA-PBE
Lines closer than 0.1° are merged.

Most intense lines, 2θ from 15° to 90°, low angle first:
2theta	I (rel.)	index
25.00	32	0 2 2
25.76	29	0 4 1
25.88	22	1 3 1
35.04	71	1 5 1
35.31	42	2 2 1
35.46	43	0 2 3
36.92	29	0 6 1
38.63	100	2 0 2
41.90	21	0 6 2
47.77	25	2 6 0

Atomic structure:
abc: 5.7190 15.3245 8.0457
angles: 90.00 90.00 90.00
Space group Cmce (No. 64)
Inequivalent atoms, fractional coordinates:
Y 0.0000 0.1134 0.0876 [8 per cell]
Zn 0.0000 0.0000 0.5000 [4 per cell]
Zn 0.2500 0.2241 0.7500 [8 per cell]
Au 0.0000 0.1835 0.4696 [8 per cell]
Au 0.2500 0.0504 0.7500 [8 per cell]